YEr3Fe34: theoretical X-ray powder pattern (Cu Kα X-rays), based on a PBE-relaxed structure.
No peak broadening, texture or thermal motion is included.

Structural model:
```
YEr3Fe34
1.0
8.439 0.000 0.000
-4.220 7.309 0.000
0.000 0.000 8.234
Y Er Fe
1 3 34
Cartesian
0.000 0.000 0.000
0.000 4.872 0.000
0.000 4.872 4.117
4.220 2.436 4.117
0.000 0.000 2.939
0.000 0.000 5.295
-2.097 3.662 2.186
-2.097 3.662 6.048
-1.229 2.192 4.117
-2.936 5.148 4.117
0.000 2.456 1.935
0.000 2.456 6.299
-2.093 6.081 1.935
-2.093 6.081 6.299
1.229 2.192 4.117
-1.707 7.277 4.117
2.113 1.220 2.062
2.113 1.220 6.172
2.996 0.249 0.000
1.714 2.470 0.000
2.097 3.662 2.186
2.097 3.662 6.048
0.000 7.294 2.186
0.000 7.294 6.048
5.443 0.249 0.000
2.937 4.589 0.000
2.093 6.081 1.935
2.093 6.081 6.299
4.220 2.436 1.183
4.220 2.436 7.051
2.936 5.148 4.117
1.707 7.277 4.117
6.327 1.220 2.062
6.327 1.220 6.172
4.220 4.869 2.062
4.220 4.869 6.172
6.725 2.470 0.000
5.502 4.589 0.000
```

Main lines, low angle first (2θ = 5–70°):
d_spacing, Position (°2θ), I_rel, h k l
2.947, 30.33, 36, 1 1 2
2.436, 36.90, 41, 3 0 0
2.195, 41.13, 28, 2 0 3
2.110, 42.86, 58, 2 2 0
2.097, 43.15, 100, 3 0 2
2.058, 43.99, 31, 0 0 4
1.878, 48.48, 20, 2 2 2
1.473, 63.10, 17, 2 2 4